Entry 1:
Starting from DFT lattice parameters and positions (PBE), the powder diffractogram of YRh2Au was simulated for λ = 1.5418 Å (Cu Kα).
Kinematic intensities with the Lorentz-polarization factor, no thermal factor.

Peak list (10 most intense, 2θ from 10° to 90°, sorted by position)
2theta	I_rel
19.82	20.2
23.91	27.0
35.37	74.0
40.34	100.0
40.87	59.2
54.72	21.1
58.78	20.2
70.14	20.0
73.71	20.7
76.76	25.7

Cell and atoms:
```
data_YRh2Au
_chemical_formula_sum 'Y1 Rh2 Au1'
_cell_length_a 5.170
_cell_length_b 5.170
_cell_length_c 5.170
_cell_angle_alpha 51.24
_cell_angle_beta 51.24
_cell_angle_gamma 51.24
_space_group_name_H-M_alt 'P 1'
_space_group_IT_number 1
loop_
_space_group_symop_operation_xyz
'x,y,z'
loop_
_atom_site_label
_atom_site_type_symbol
_atom_site_fract_x
_atom_site_fract_y
_atom_site_fract_z
Y1 Y 0.000 0.000 0.000
Rh1 Rh 0.208 0.208 0.208
Rh2 Rh 0.546 0.546 0.546
Au1 Au 0.779 0.779 0.779
```

=====

Entry 2:
Starting from DFT lattice parameters and positions (PBE), the powder diffractogram of Sr2AuI2O2 was simulated for λ = 1.5418 Å (Cu Kα).
Kinematic intensities with the Lorentz-polarization factor, no thermal factor.

Peak list (10 most intense, 2θ from 10° to 90°, sorted by position)
2theta	I_rel
21.14	32.5
29.44	86.7
29.83	100.0
36.65	70.3
42.13	40.5
52.47	51.5
57.04	38.8
61.34	21.7
69.47	26.6
84.70	21.4

Cell and atoms:
```
data_Sr2AuI2O2
_chemical_formula_sum 'Sr2 Au1 I2 O2'
_cell_length_a 10.890
_cell_length_b 10.890
_cell_length_c 10.890
_cell_angle_alpha 157.28
_cell_angle_beta 157.28
_cell_angle_gamma 32.35
_space_group_name_H-M_alt 'P 1'
_space_group_IT_number 1
loop_
_space_group_symop_operation_xyz
'x,y,z'
loop_
_atom_site_label
_atom_site_type_symbol
_atom_site_fract_x
_atom_site_fract_y
_atom_site_fract_z
Sr1 Sr 0.082 0.082 0.000
Sr2 Sr 0.918 0.918 0.000
Au1 Au 0.500 0.500 0.000
I1 I 0.336 0.336 0.000
I2 I 0.664 0.664 0.000
O1 O 0.000 0.500 0.500
O2 O 0.500 0.000 0.500
```